Computed X-ray diffraction stick pattern of Ac4Zn3Rh for Cu Kα (λ = 1.5418 Å), from a GGA-PBE-relaxed structure.
Kinematic intensities with the Lorentz-polarization factor, no thermal factor.

Peak list (10 most intense, 10 to 90 degrees two-theta, most intense first)
2θ (°), I (rel.), index
29.3, 100, 1 1 1
31.0, 50, 1 0 3
24.3, 44, 0 1 2
36.5, 38, 1 1 3
38.4, 28, 0 2 0
50.1, 27, 1 2 3
30.4, 21, 0 0 4
36.1, 21, 0 1 4
42.2, 20, 2 0 0
58.4, 18, 2 2 0

Crystal structure
```
Ac4Zn3Rh
1.0
4.2797 0.0000 0.0000
0.0000 4.6896 0.0000
0.0000 0.0000 11.7464
Ac Zn Rh
4 3 1
Direct
0.0000 0.0000 0.0000 Ac
0.0000 0.5000 0.2672 Ac
0.5000 0.0000 0.4697 Ac
0.5000 0.5000 0.7744 Ac
0.0000 0.0000 0.6896 Zn
0.0000 0.5000 0.5578 Zn
0.5000 0.5000 0.0631 Zn
0.5000 0.0000 0.1939 Rh
```